Entry 1:
Starting from the GGA-PBE geometry in OQMD, the X-ray diffraction stick pattern of Sr2Nb2O7 was simulated for λ = 1.5418 Å (Cu Kα).
Peak positions follow from Bragg's law for the DFT cell and can differ from measured ones.

Main lines, by intensity (2θ from 10° to 90°):
2θ 29.11, I 1000, (1 3 1)
2θ 32.12, I 852, (1 5 1)
2θ 31.27, I 496, (0 0 2)
2θ 26.75, I 493, (0 8 0)
2θ 45.57, I 402, (2 0 0)
2θ 31.05, I 344, (0 8 1)

abc: 3.982 26.665 5.722
angles: 90.00 90.00 90.00
Space group Cmc2_1 (No. 36)
Inequivalent atoms, fractional coordinates:
1 Sr 0.000 0.052 0.000 (multiplicity 4)
2 Sr 0.000 0.206 0.431 (multiplicity 4)
3 Nb 0.000 0.337 0.467 (multiplicity 4)
4 Nb 0.000 0.441 0.998 (multiplicity 4)
5 O 0.000 0.049 0.524 (multiplicity 4)
6 O 0.000 0.151 0.004 (multiplicity 4)
7 O 0.000 0.283 0.680 (multiplicity 4)
8 O 0.000 0.299 0.199 (multiplicity 4)
9 O 0.000 0.386 0.802 (multiplicity 4)
10 O 0.000 0.408 0.309 (multiplicity 4)
11 O 0.000 0.491 0.739 (multiplicity 4)

---

Entry 2:
Starting from the GGA-PBE geometry in OQMD, the X-ray diffraction stick pattern of BiSbPt2 was simulated for λ = 1.5418 Å (Cu Kα).
Peak positions follow from Bragg's law for the DFT cell and can differ from measured ones.

Main lines, by intensity (2θ from 10° to 90°):
2θ 40.38, I 1000, (0 2 2)
2θ 28.75, I 681, (0 2 1)
2θ 41.91, I 503, (2 3 0)
2θ 41.70, I 231, (4 0 0)
2θ 23.75, I 191, (2 1 0)
2θ 59.48, I 183, (4 2 2)

abc: 8.665 7.456 5.570
angles: 90.00 90.00 90.00
Space group Pbcm (No. 57)
Inequivalent atoms, fractional coordinates:
1 Bi 0.122 0.090 0.250 (multiplicity 4)
2 Sb 0.375 0.575 0.250 (multiplicity 4)
3 Pt 0.147 0.750 0.000 (multiplicity 4)
4 Pt 0.393 0.250 0.000 (multiplicity 4)

---

Entry 3:
Starting from the GGA-PBE geometry in OQMD, the X-ray diffraction stick pattern of Cu4Ag was simulated for λ = 1.5418 Å (Cu Kα).
Peak positions follow from Bragg's law for the DFT cell and can differ from measured ones.

Main lines, by intensity (2θ from 10° to 90°):
2θ 41.99, I 1000, (1 0 5)
2θ 47.31, I 372, (1 1 0)
2θ 84.30, I 232, (2 1 5)
2θ 72.84, I 142, (1 1 10)
2θ 69.14, I 110, (2 0 0)
2θ 51.91, I 106, (0 0 10)

abc: 2.717 2.717 17.615
angles: 90.00 90.00 90.00
Space group P4/mmm (No. 123)
Inequivalent atoms, fractional coordinates:
1 Cu 0.000 0.000 0.000 (multiplicity 1)
2 Cu 0.000 0.000 0.184 (multiplicity 2)
3 Cu 0.000 0.000 0.408 (multiplicity 2)
4 Cu 0.500 0.500 0.092 (multiplicity 2)
5 Cu 0.500 0.500 0.500 (multiplicity 1)
6 Ag 0.500 0.500 0.296 (multiplicity 2)

---

Entry 4:
Starting from the GGA-PBE geometry in OQMD, the X-ray diffraction stick pattern of TbYAg2S4 was simulated for λ = 1.5418 Å (Cu Kα).
Peak positions follow from Bragg's law for the DFT cell and can differ from measured ones.

Main lines, by intensity (2θ from 10° to 90°):
2θ 27.21, I 1000, (2 2 0)
2θ 37.62, I 990, (3 1 1)
2θ 38.87, I 915, (4 0 0)
2θ 25.48, I 743, (1 1 1)
2θ 28.94, I 716, (2 0 1)
2θ 48.21, I 698, (0 2 2)

abc: 9.267 9.270 4.134
angles: 90.00 90.00 90.00
Space group Cmm2 (No. 35)
Inequivalent atoms, fractional coordinates:
1 Tb 0.000 0.000 0.000 (multiplicity 2)
2 Y 0.000 0.500 0.550 (multiplicity 2)
3 Ag 0.250 0.250 0.775 (multiplicity 4)
4 S 0.000 0.300 0.043 (multiplicity 4)
5 S 0.201 0.000 0.507 (multiplicity 4)

---

Entry 5:
Starting from the GGA-PBE geometry in OQMD, the X-ray diffraction stick pattern of CuNi3P5 was simulated for λ = 1.5418 Å (Cu Kα).
Peak positions follow from Bragg's law for the DFT cell and can differ from measured ones.

Main lines, by intensity (2θ from 10° to 90°):
2θ 53.11, I 1000, (2 0 2)
2θ 13.62, I 705, (0 0 1)
2θ 25.83, I 452, (1 0 1)
2θ 44.54, I 411, (2 0 0)
2θ 40.85, I 397, (1 1 1)
2θ 46.80, I 393, (2 0 1)

abc: 4.6975 4.6975 6.5008
angles: 90.00 90.00 120.00
Space group P6/mmm (No. 191)
Inequivalent atoms, fractional coordinates:
1 Cu 0.0000 0.0000 0.0000 (multiplicity 1)
2 Ni 0.0000 0.5000 0.5000 (multiplicity 3)
3 P 0.0000 0.0000 0.5000 (multiplicity 1)
4 P 0.3333 0.6667 0.1975 (multiplicity 4)

---

Entry 6:
Starting from the GGA-PBE geometry in OQMD, the X-ray diffraction stick pattern of Zr2Se3I was simulated for λ = 1.5418 Å (Cu Kα).
Peak positions follow from Bragg's law for the DFT cell and can differ from measured ones.

Main lines, by intensity (2θ from 10° to 90°):
2θ 29.97, I 1000, (1 1 2)
2θ 12.53, I 843, (0 0 2)
2θ 33.23, I 565, (1 1 3)
2θ 42.15, I 481, (1 1 5)
2θ 37.30, I 388, (0 2 4)
2θ 29.86, I 347, (0 2 2)

abc: 3.792 6.607 14.125
angles: 90.00 90.00 90.00
Space group Pmn2_1 (No. 31)
Inequivalent atoms, fractional coordinates:
1 Zr 0.000 0.042 0.000 (multiplicity 2)
2 Zr 0.000 0.432 0.501 (multiplicity 2)
3 Se 0.000 0.112 0.615 (multiplicity 2)
4 Se 0.000 0.382 0.107 (multiplicity 2)
5 Se 0.000 0.722 0.884 (multiplicity 2)
6 I 0.000 0.778 0.360 (multiplicity 2)

---

Question: What is the formula in the fourth record?
Answer: TbYAg2S4